No. 1
Starting from DFT lattice parameters and positions (GGA+U), the X-ray diffraction stick pattern of Li6V3P6WO24 was calculated for Cu Kα (λ = 1.5418 Å).
Lines closer than 0.1° are merged.

Principal peaks in the range 2θ = 5–70°, in order of falling intensity:
| hkl | 2θ (°) | intensity |
| --- | --- | --- |
| 1 2 0 | 23.69 | 100 |
| 1 1 2 | 20.55 | 94 |
| 0 1 -1 | 19.90 | 60 |
| 1 3 2 | 32.66 | 57 |
| 0 1 1 | 14.27 | 51 |
| 0 2 2 | 28.76 | 46 |
| 1 0 0 | 12.22 | 39 |
| 1 1 -2 | 34.78 | 27 |
| 1 0 3 | 35.17 | 17 |
| 0 3 1 | 35.27 | 16 |
| 1 0 -2 | 30.87 | 16 |
| 4 1 3 | 46.68 | 16 |

Structure:
```
data_Li6V3P6WO24
_symmetry_space_group_name_H-M 'P 1'
_symmetry_Int_Tables_number 1
_symmetry_space_group_name_Hall 'P 1'
_cell_length_a 8.6463
_cell_length_b 8.6487
_cell_length_c 8.6620
_cell_angle_alpha 62.24
_cell_angle_beta 62.03
_cell_angle_gamma 61.97
loop_
_atom_site_label
_atom_site_type_symbol
_atom_site_fract_x
_atom_site_fract_y
_atom_site_fract_z
Li1 Li 0.0000 0.0000 0.0000
Li2 Li 0.0785 0.5025 0.9285
Li3 Li 0.2732 0.8582 0.6543
Li4 Li 0.5177 0.6890 0.3015
Li5 Li 0.7199 0.3573 0.1475
Li6 Li 0.8965 0.1230 0.4885
V1 V 0.3872 0.9986 0.7928
V2 V 0.6036 0.2128 0.0085
V3 V 0.8899 0.5020 0.3023
P1 P 0.1999 0.1087 0.1879
P2 P 0.2982 0.6030 0.0972
P3 P 0.5040 0.3898 0.6106
P4 P 0.6908 0.9088 0.4043
P5 P 0.7849 0.8135 0.9127
P6 P 0.9962 0.2981 0.7059
W1 W 0.1035 0.7062 0.5098
O1 O 0.0147 0.2756 0.2079
O2 O 0.0564 0.4510 0.6828
O3 O 0.1316 0.5482 0.1389
O4 O 0.1504 0.1052 0.7263
O5 O 0.1700 0.9594 0.3834
O6 O 0.2142 0.0501 0.0369
O7 O 0.2791 0.6571 0.2538
O8 O 0.2953 0.7704 0.9181
O9 O 0.3550 0.5877 0.5798
O10 O 0.3701 0.1501 0.1430
O11 O 0.4397 0.2383 0.6427
O12 O 0.4840 0.4446 0.0741
O13 O 0.5048 0.9225 0.5631
O14 O 0.5626 0.3529 0.7676
O15 O 0.6203 0.8600 0.8598
O16 O 0.6669 0.4070 0.4206
O17 O 0.6844 0.0885 0.2377
O18 O 0.7303 0.7437 0.3481
O19 O 0.7729 0.9691 0.9620
O20 O 0.7952 0.6259 0.0757
O21 O 0.8434 0.2733 0.8978
O22 O 0.8471 0.8830 0.4627
O23 O 0.9406 0.3355 0.5442
O24 O 0.9785 0.7745 0.7612
```


No. 2
Starting from DFT lattice parameters and positions (GGA+U), the X-ray diffraction stick pattern of MgV4Cr2O12 was calculated for Cu Kα (λ = 1.5418 Å).
Lines closer than 0.1° are merged.

Principal peaks in the range 2θ = 5–70°, in order of falling intensity:
| hkl | 2θ (°) | intensity |
| --- | --- | --- |
| 1 2 0 | 28.62 | 100 |
| 0 1 1 | 18.48 | 89 |
| 0 1 2 | 28.79 | 63 |
| 0 1 -1 | 19.51 | 55 |
| 1 0 2 | 27.25 | 41 |
| 0 2 1 | 30.27 | 38 |
| 2 -1 0 | 40.35 | 37 |
| 1 3 -1 | 45.58 | 35 |
| 0 0 1 | 12.86 | 34 |
| 1 1 0 | 18.76 | 33 |
| 2 0 0 | 33.98 | 32 |
| 0 1 0 | 13.91 | 29 |

Structure:
```
data_MgV4Cr2O12
_symmetry_space_group_name_H-M 'P -1'
_symmetry_Int_Tables_number 2
_symmetry_space_group_name_Hall '-P 1'
_cell_length_a 5.6867
_cell_length_b 6.6615
_cell_length_c 7.1608
_cell_angle_alpha 82.57
_cell_angle_beta 74.35
_cell_angle_gamma 73.15
loop_
_atom_site_label
_atom_site_type_symbol
_atom_site_fract_x
_atom_site_fract_y
_atom_site_fract_z
Mg1 Mg 0.0000 0.0000 0.0000
V1 V 0.1736 0.3438 0.6076
V2 V 0.3053 0.8751 0.2342
Cr1 Cr 0.2514 0.4214 0.0767
O1 O 0.0460 0.1150 0.6992
O2 O 0.1332 0.4744 0.8288
O3 O 0.2089 0.4635 0.3630
O4 O 0.2366 0.1218 0.0930
O5 O 0.3635 0.6938 0.0332
O6 O 0.4816 0.8077 0.4086
```


No. 3
Starting from DFT lattice parameters and positions (GGA+U), the X-ray diffraction stick pattern of Mg2V2O7 was calculated for Cu Kα (λ = 1.5418 Å).
Lines closer than 0.1° are merged.

Principal peaks in the range 2θ = 5–70°, in order of falling intensity:
| hkl | 2θ (°) | intensity |
| --- | --- | --- |
| 0 2 2 | 28.19 | 100 |
| 0 1 3 | 30.26 | 87 |
| 2 1 0 | 29.01 | 63 |
| 1 2 0 | 24.85 | 62 |
| 1 4 4 | 61.99 | 59 |
| 1 3 0 | 34.33 | 58 |
| 3 4 -2 | 61.13 | 57 |
| 2 0 0 | 27.02 | 51 |
| 1 1 -2 | 23.45 | 46 |
| 1 1 -1 | 18.15 | 45 |
| 2 1 -3 | 37.08 | 45 |
| 2 1 -1 | 28.89 | 43 |

Structure:
```
data_Mg2V2O7
_symmetry_space_group_name_H-M 'P 1 21/c 1'
_symmetry_Int_Tables_number 14
_symmetry_space_group_name_Hall '-P 2ybc'
_cell_length_a 6.7197
_cell_length_b 8.5317
_cell_length_c 9.6171
_cell_angle_alpha 90.00
_cell_angle_beta 100.83
_cell_angle_gamma 90.00
loop_
_atom_site_label
_atom_site_type_symbol
_atom_site_fract_x
_atom_site_fract_y
_atom_site_fract_z
Mg1 Mg 0.1469 0.1211 0.4638
Mg2 Mg 0.3079 0.1108 0.1814
V1 V 0.1923 0.0207 0.8144
V2 V 0.3595 0.7421 0.0310
O1 O 0.0311 0.0768 0.2474
O2 O 0.1487 0.6209 0.9974
O3 O 0.1728 0.1322 0.9606
O4 O 0.2505 0.1419 0.6840
O5 O 0.3237 0.6258 0.6522
O6 O 0.3903 0.6300 0.3765
O7 O 0.4283 0.1312 0.3985
```


No. 4
Starting from DFT lattice parameters and positions (GGA+U), the X-ray diffraction stick pattern of Fe13O19 was calculated for Cu Kα (λ = 1.5418 Å).
Lines closer than 0.1° are merged.

Principal peaks in the range 2θ = 5–70°, in order of falling intensity:
| hkl | 2θ (°) | intensity |
| --- | --- | --- |
| 6 0 1 | 32.97 | 100 |
| 2 0 -4 | 33.61 | 87 |
| 8 0 -3 | 33.90 | 82 |
| 3 1 -2 | 35.19 | 49 |
| 14 0 -2 | 59.65 | 40 |
| 3 1 3 | 48.42 | 37 |
| 7 1 -1 | 42.61 | 34 |
| 5 1 -3 | 40.75 | 33 |
| 0 2 0 | 63.97 | 32 |
| 1 1 2 | 37.45 | 27 |
| 3 1 1 | 36.78 | 26 |
| 4 0 5 | 59.10 | 25 |

Structure:
```
data_Fe13O19
_symmetry_space_group_name_H-M 'C 1 2/m 1'
_symmetry_Int_Tables_number 12
_symmetry_space_group_name_Hall '-C 2y'
_cell_length_a 22.1917
_cell_length_b 2.9108
_cell_length_c 11.0205
_cell_angle_alpha 90.00
_cell_angle_beta 118.47
_cell_angle_gamma 90.00
loop_
_atom_site_label
_atom_site_type_symbol
_atom_site_fract_x
_atom_site_fract_y
_atom_site_fract_z
Fe1 Fe 0.0000 0.0000 0.0000
Fe2 Fe 0.0334 0.5000 0.7810
Fe3 Fe 0.0737 0.0000 0.5472
Fe4 Fe 0.1185 0.5000 0.3317
Fe5 Fe 0.1563 0.5000 0.0808
Fe6 Fe 0.1971 0.5000 0.8512
Fe7 Fe 0.2361 0.5000 0.6250
O1 O 0.0000 0.5000 0.5000
O2 O 0.0389 0.5000 0.1406
O3 O 0.0512 0.0000 0.3421
O4 O 0.0766 0.0000 0.9526
O5 O 0.0891 0.0000 0.7412
O6 O 0.1373 0.5000 0.5786
O7 O 0.1606 0.0000 0.2211
O8 O 0.1959 0.0000 0.4632
O9 O 0.1993 0.0000 0.9983
O10 O 0.2384 0.0000 0.7690
```


No. 5
Starting from DFT lattice parameters and positions (GGA+U), the X-ray diffraction stick pattern of Ca4Al6WO16 was calculated for Cu Kα (λ = 1.5418 Å).
Lines closer than 0.1° are merged.

Principal peaks in the range 2θ = 5–70°, in order of falling intensity:
| hkl | 2θ (°) | intensity |
| --- | --- | --- |
| 2 1 1 | 23.03 | 100 |
| 2 2 0 | 26.65 | 29 |
| 3 2 1 | 35.51 | 27 |
| 1 1 0 | 13.24 | 23 |
| 3 3 0 | 40.45 | 18 |
| 4 2 2 | 47.06 | 18 |
| 4 4 0 | 54.90 | 16 |
| 5 2 1 | 53.02 | 14 |
| 3 3 2 | 44.94 | 13 |
| 4 0 0 | 38.05 | 11 |
| 5 3 2 | 60.31 | 11 |
| 6 3 1 | 67.10 | 9 |

Structure:
```
data_Ca4Al6WO16
_symmetry_space_group_name_H-M 'I -4 3 m'
_symmetry_Int_Tables_number 217
_symmetry_space_group_name_Hall 'I -4 2 3'
_cell_length_a 9.4602
_cell_length_b 9.4602
_cell_length_c 9.4602
_cell_angle_alpha 90.00
_cell_angle_beta 90.00
_cell_angle_gamma 90.00
loop_
_atom_site_label
_atom_site_type_symbol
_atom_site_fract_x
_atom_site_fract_y
_atom_site_fract_z
Ca1 Ca 0.2490 0.2490 0.7510
Al1 Al 0.0000 0.2500 0.5000
W1 W 0.0000 0.0000 0.0000
O1 O 0.0437 0.3466 0.6534
O2 O 0.1104 0.1104 0.8896
```